For Mg3AlIr4, a structure optimized by DFT (GGA-PBE) gives the theoretical powder diffractogram in this record (Cu Kα (λ = 1.5418 Å)).
Neutral-atom scattering factors, no anomalous dispersion.

Largest 8 diffraction maxima, by intensity, 15° ≤ 2θ ≤ 90°:
Position (°2θ)  I/Imax  h k l
41.1  100.0  1 0 4
29.1  73.6  1 0 0
41.7  49.7  1 1 0
28.3  37.9  0 0 4
75.7  33.6  2 1 4
51.2  30.8  1 1 4
60.4  16.8  2 0 0
74.5  16.4  1 1 8

Atomic structure:
```
8
Lattice="3.0649 0.0000 0.0000 0.0000 3.0649 0.0000 0.0000 0.0000 12.6043" Properties=species:S:1:pos:R:3 pbc="T T T"
Mg 0.0000 0.0000 0.0000
Mg 0.0000 0.0000 3.2098
Mg 0.0000 0.0000 9.3945
Al 0.0000 0.0000 6.3022
Ir 1.5324 1.5324 1.6202
Ir 1.5324 1.5324 4.8555
Ir 1.5324 1.5324 7.7488
Ir 1.5324 1.5324 10.9842
```